Diffraction record for LaHo2WO8. The PXRD pattern is simulated, not measured: it uses a cell relaxed with PBE+U and CuKα.
Intensities are scaled so that the largest is 100.

Cell lengths 5.027, 5.027, 7.052 Å; angles 90.00, 90.00, 90.68 degrees
Sites, in units of the cell vectors:
La 0.000 0.000 0.000
Ho 0.500 0.500 0.261
Ho 0.500 0.500 0.739
W 0.000 0.000 0.500
O 0.186 0.814 0.297
O 0.186 0.814 0.703
O 0.279 0.279 0.500
O 0.321 0.321 0.000
O 0.679 0.679 0.000
O 0.721 0.721 0.500
O 0.814 0.186 0.297
O 0.814 0.186 0.703

Peak list (12 most intense, 2θ from 10° to 90°, in order of rising 2θ)
two_theta, I (rel.)
24.9, 54
25.2, 52
31.0, 100
35.7, 30
47.8, 38
48.2, 37
58.2, 9
58.4, 11
61.2, 21
64.6, 12
75.7, 10
81.7, 9